1.
Diffraction record for ScMnBi2O6. The powder diffraction line list is theoretical, not measured: it uses a DFT-relaxed cell (GGA+U, the Materials Project) and Cu Kα X-rays.
Lines closer than 0.1° are merged.

Peak list (8 most intense, 10° ≤ 2θ ≤ 90°, low angle first)
| d/Å | two_theta | I/Imax | h k l |
| --- | --- | --- | --- |
| 4.119 | 21.57 | 82 | 1 1 1 |
| 3.963 | 22.43 | 39 | 2 0 -2 |
| 2.931 | 30.50 | 47 | 0 2 0 |
| 2.895 | 30.88 | 51 | 2 0 2 |
| 2.878 | 31.08 | 100 | 1 1 -3 |
| 2.835 | 31.56 | 97 | 3 1 -1 |
| 2.359 | 38.16 | 47 | 0 0 4 |
| 2.060 | 43.96 | 47 | 2 2 2 |

Cell and atoms:
```
data_ScMnBi2O6
_cell_length_a 9.720
_cell_length_b 5.862
_cell_length_c 9.916
_cell_angle_alpha 90.00
_cell_angle_beta 107.71
_cell_angle_gamma 90.00
_symmetry_space_group_name_H-M 'C 1 2/c 1'
_symmetry_Int_Tables_number 15
_symmetry_space_group_name_Hall '-C 2yc'
loop_
_atom_site_label
_atom_site_type_symbol
_atom_site_fract_x
_atom_site_fract_y
_atom_site_fract_z
Sc1 Sc 0.000 0.221 0.250
Mn1 Mn 0.250 0.250 0.000
Bi1 Bi 0.135 0.213 0.622
O1 O 0.092 0.168 0.083
O2 O 0.153 0.061 0.837
O3 O 0.155 0.427 0.380
```



2.
Diffraction record for Li2FeBO4. The powder diffraction line list is theoretical, not measured: it uses a DFT-relaxed cell (GGA+U, the Materials Project) and Cu Kα X-rays.
Lines closer than 0.1° are merged.

Peak list (8 most intense, 10° ≤ 2θ ≤ 90°, low angle first)
| d/Å | two_theta | I/Imax | h k l |
| --- | --- | --- | --- |
| 3.946 | 22.53 | 88 | 0 1 1 |
| 3.804 | 23.39 | 100 | 1 0 -2 |
| 3.509 | 25.39 | 27 | 1 1 -1 |
| 3.053 | 29.25 | 20 | 1 1 0 |
| 2.651 | 33.82 | 43 | 0 1 2 |
| 2.559 | 35.06 | 28 | 0 2 0 |
| 2.409 | 37.32 | 40 | 2 0 -2 |
| 1.495 | 62.08 | 27 | 0 3 2 |

Cell and atoms:
```
data_Li2FeBO4
_cell_length_a 4.819
_cell_length_b 5.119
_cell_length_c 7.834
_cell_angle_alpha 90.00
_cell_angle_beta 127.72
_cell_angle_gamma 90.00
_symmetry_space_group_name_H-M 'P 1 c 1'
_symmetry_Int_Tables_number 7
_symmetry_space_group_name_Hall 'P -2yc'
loop_
_atom_site_label
_atom_site_type_symbol
_atom_site_fract_x
_atom_site_fract_y
_atom_site_fract_z
Li1 Li 0.000 0.153 0.000
Li2 Li 0.250 0.314 0.753
Fe1 Fe 0.741 0.322 0.247
B1 B 0.490 0.179 0.500
O1 O 0.173 0.193 0.493
O2 O 0.401 0.307 0.299
O3 O 0.591 0.100 0.008
O4 O 0.789 0.320 0.700
```



3.
Diffraction record for Mn3CuSe4O12. The powder diffraction line list is theoretical, not measured: it uses a DFT-relaxed cell (GGA+U, the Materials Project) and Cu Kα X-rays.
Lines closer than 0.1° are merged.

Peak list (8 most intense, 10° ≤ 2θ ≤ 90°, low angle first)
| d/Å | two_theta | I/Imax | h k l |
| --- | --- | --- | --- |
| 3.068 | 29.10 | 57 | 0 2 0 |
| 2.841 | 31.49 | 56 | 1 1 2 |
| 2.797 | 32.00 | 100 | 1 -1 2 |
| 2.771 | 32.30 | 51 | -1 1 2 |
| 2.619 | 34.23 | 43 | 2 0 0 |
| 1.969 | 46.09 | 22 | 0 0 4 |
| 1.702 | 53.86 | 25 | -1 3 2 |
| 1.563 | 59.09 | 21 | 3 1 2 |

Cell and atoms:
```
data_Mn3CuSe4O12
_cell_length_a 5.241
_cell_length_b 6.139
_cell_length_c 7.879
_cell_angle_alpha 89.70
_cell_angle_beta 89.17
_cell_angle_gamma 88.38
_symmetry_space_group_name_H-M 'P -1'
_symmetry_Int_Tables_number 2
_symmetry_space_group_name_Hall '-P 1'
loop_
_atom_site_label
_atom_site_type_symbol
_atom_site_fract_x
_atom_site_fract_y
_atom_site_fract_z
Mn1 Mn 0.000 0.000 0.000
Mn2 Mn 0.000 0.000 0.500
Mn3 Mn 0.500 0.500 0.000
Cu1 Cu 0.500 0.500 0.500
Se1 Se 0.009 0.470 0.256
Se2 Se 0.484 0.966 0.255
O1 O 0.117 0.305 0.420
O2 O 0.129 0.317 0.083
O3 O 0.187 0.080 0.752
O4 O 0.323 0.575 0.745
O5 O 0.369 0.818 0.084
O6 O 0.379 0.801 0.426
```



4.
Diffraction record for Li4Mn3Nb2Fe3O16. The powder diffraction line list is theoretical, not measured: it uses a DFT-relaxed cell (GGA+U, the Materials Project) and Cu Kα X-rays.
Lines closer than 0.1° are merged.

Peak list (8 most intense, 10° ≤ 2θ ≤ 90°, low angle first)
| d/Å | two_theta | I/Imax | h k l |
| --- | --- | --- | --- |
| 4.906 | 18.08 | 36 | 0 0 2 |
| 4.616 | 19.23 | 69 | 1 1 -1 |
| 4.548 | 19.52 | 100 | 1 1 1 |
| 2.610 | 34.36 | 36 | 3 1 -2 |
| 2.533 | 35.44 | 33 | 3 1 2 |
| 2.514 | 35.71 | 37 | 2 2 -1 |
| 2.011 | 45.09 | 38 | 4 0 3 |
| 1.509 | 61.44 | 39 | 6 2 0 |

Cell and atoms:
```
data_Li4Mn3Nb2Fe3O16
_cell_length_a 10.515
_cell_length_b 5.950
_cell_length_c 9.820
_cell_angle_alpha 90.00
_cell_angle_beta 92.23
_cell_angle_gamma 90.00
_symmetry_space_group_name_H-M 'C 1 m 1'
_symmetry_Int_Tables_number 8
_symmetry_space_group_name_Hall 'C -2y'
loop_
_atom_site_label
_atom_site_type_symbol
_atom_site_fract_x
_atom_site_fract_y
_atom_site_fract_z
Li1 Li 0.000 0.000 0.000
Li2 Li 0.006 0.000 0.499
Li3 Li 0.166 0.500 0.087
Li4 Li 0.339 0.000 0.585
Mn1 Mn 0.086 0.254 0.775
Mn2 Mn 0.172 0.000 0.278
Nb1 Nb 0.180 0.500 0.495
Nb2 Nb 0.334 0.000 0.997
Fe1 Fe 0.331 0.500 0.772
Fe2 Fe 0.416 0.245 0.271
O1 O 0.000 0.000 0.686
O2 O 0.006 0.000 0.187
O3 O 0.024 0.500 0.651
O4 O 0.083 0.255 0.401
O5 O 0.161 0.000 0.896
O6 O 0.167 0.500 0.876
O7 O 0.250 0.279 0.639
O8 O 0.262 0.225 0.144
O9 O 0.333 0.000 0.378
O10 O 0.336 0.500 0.392
O11 O 0.407 0.251 0.901
O12 O 0.482 0.000 0.146
```



5.
Diffraction record for Li9Mn2Co5O16. The powder diffraction line list is theoretical, not measured: it uses a DFT-relaxed cell (GGA+U, the Materials Project) and Cu Kα X-rays.
Lines closer than 0.1° are merged.

Peak list (8 most intense, 10° ≤ 2θ ≤ 90°, low angle first)
| d/Å | two_theta | I/Imax | h k l |
| --- | --- | --- | --- |
| 4.831 | 18.36 | 100 | 0 0 4 |
| 2.590 | 34.63 | 18 | -1 1 1 |
| 2.504 | 35.86 | 14 | 1 1 1 |
| 2.453 | 36.63 | 11 | 0 2 -2 |
| 2.165 | 41.73 | 33 | -1 1 5 |
| 2.077 | 43.58 | 28 | 1 1 5 |
| 2.026 | 44.73 | 25 | 0 2 -6 |
| 1.479 | 62.83 | 15 | 1 -3 1 |

Cell and atoms:
```
data_Li9Mn2Co5O16
_cell_length_a 3.008
_cell_length_b 5.016
_cell_length_c 19.355
_cell_angle_alpha 92.79
_cell_angle_beta 91.59
_cell_angle_gamma 91.73
_symmetry_space_group_name_H-M 'P -1'
_symmetry_Int_Tables_number 2
_symmetry_space_group_name_Hall '-P 1'
loop_
_atom_site_label
_atom_site_type_symbol
_atom_site_fract_x
_atom_site_fract_y
_atom_site_fract_z
Li1 Li 0.000 0.000 0.000
Li2 Li 0.007 0.875 0.625
Li3 Li 0.019 0.374 0.119
Li4 Li 0.498 0.119 0.880
Li5 Li 0.499 0.375 0.624
Mn1 Mn 0.499 0.749 0.752
Co1 Co 0.000 0.500 0.500
Co2 Co 0.001 0.750 0.248
Co3 Co 0.500 0.000 0.500
Co4 Co 0.500 0.500 0.000
O1 O 0.008 0.196 0.556
O2 O 0.014 0.665 0.053
O3 O 0.036 0.553 0.692
O4 O 0.039 0.052 0.189
O5 O 0.458 0.692 0.557
O6 O 0.490 0.562 0.192
O7 O 0.492 0.056 0.693
O8 O 0.499 0.775 0.945
```



6.
Diffraction record for Na2Li5Ti3FeP6O24. The powder diffraction line list is theoretical, not measured: it uses a DFT-relaxed cell (GGA+U, the Materials Project) and Cu Kα X-rays.
Lines closer than 0.1° are merged.

Peak list (8 most intense, 10° ≤ 2θ ≤ 90°, low angle first)
| d/Å | two_theta | I/Imax | h k l |
| --- | --- | --- | --- |
| 4.494 | 19.75 | 53 | 1 -1 1 |
| 4.310 | 20.61 | 44 | 1 -2 0 |
| 3.743 | 23.77 | 100 | -1 2 1 |
| 3.732 | 23.84 | 92 | -2 1 2 |
| 3.110 | 28.70 | 45 | 0 2 -2 |
| 2.833 | 31.58 | 98 | 1 1 1 |
| 2.824 | 31.69 | 49 | -2 1 3 |
| 2.488 | 36.10 | 46 | 0 3 -1 |

Cell and atoms:
```
data_Na2Li5Ti3FeP6O24
_cell_length_a 8.613
_cell_length_b 8.621
_cell_length_c 8.984
_cell_angle_alpha 90.01
_cell_angle_beta 118.45
_cell_angle_gamma 119.94
_symmetry_space_group_name_H-M 'P 1'
_symmetry_Int_Tables_number 1
_symmetry_space_group_name_Hall 'P 1'
loop_
_atom_site_label
_atom_site_type_symbol
_atom_site_fract_x
_atom_site_fract_y
_atom_site_fract_z
Na1 Na 0.000 0.000 0.000
Na2 Na 0.015 0.487 0.489
Li1 Li 0.059 0.208 0.662
Li2 Li 0.457 0.838 0.664
Li3 Li 0.553 0.148 0.338
Li4 Li 0.820 0.602 0.661
Li5 Li 0.939 0.781 0.339
Ti1 Ti 0.293 0.640 0.944
Ti2 Ti 0.298 0.157 0.452
Ti3 Ti 0.711 0.351 0.061
Fe1 Fe 0.691 0.840 0.539
P1 P 0.206 0.745 0.254
P2 P 0.211 0.953 0.751
P3 P 0.499 0.535 0.757
P4 P 0.506 0.451 0.251
P5 P 0.790 0.044 0.250
P6 P 0.796 0.250 0.751
O1 O 0.008 0.377 0.756
O2 O 0.038 0.984 0.723
O3 O 0.132 0.746 0.757
O4 O 0.185 0.687 0.081
O5 O 0.236 0.957 0.589
O6 O 0.264 0.951 0.280
O7 O 0.310 0.339 0.609
O8 O 0.334 0.301 0.281
O9 O 0.373 0.733 0.419
O10 O 0.382 0.626 0.762
O11 O 0.388 0.487 0.079
O12 O 0.423 0.102 0.922
O13 O 0.580 0.884 0.082
O14 O 0.613 0.504 0.935
O15 O 0.626 0.365 0.241
O16 O 0.631 0.272 0.590
O17 O 0.671 0.671 0.722
O18 O 0.693 0.637 0.411
O19 O 0.738 0.047 0.728
O20 O 0.769 0.051 0.413
O21 O 0.821 0.319 0.922
O22 O 0.858 0.241 0.230
O23 O 0.963 0.008 0.282
O24 O 0.991 0.619 0.243
```



7.
Diffraction record for RbGdMo2O8. The powder diffraction line list is theoretical, not measured: it uses a DFT-relaxed cell (GGA+U, the Materials Project) and Cu Kα X-rays.
Lines closer than 0.1° are merged.

Peak list (8 most intense, 10° ≤ 2θ ≤ 90°, low angle first)
| d/Å | two_theta | I/Imax | h k l |
| --- | --- | --- | --- |
| 4.012 | 22.16 | 37 | 1 3 0 |
| 3.612 | 24.65 | 17 | 1 3 1 |
| 3.195 | 27.92 | 100 | 1 1 2 |
| 3.121 | 28.60 | 50 | 0 4 2 |
| 3.061 | 29.17 | 59 | 1 5 0 |
| 1.996 | 45.43 | 43 | 2 4 2 |
| 1.765 | 51.79 | 21 | 1 9 2 |
| 1.717 | 53.35 | 20 | 1 5 4 |

Cell and atoms:
```
data_RbGdMo2O8
_cell_length_a 5.194
_cell_length_b 18.944
_cell_length_c 8.297
_cell_angle_alpha 90.00
_cell_angle_beta 90.00
_cell_angle_gamma 90.00
_symmetry_space_group_name_H-M 'P b c n'
_symmetry_Int_Tables_number 60
_symmetry_space_group_name_Hall '-P 2n 2ab'
loop_
_atom_site_label
_atom_site_type_symbol
_atom_site_fract_x
_atom_site_fract_y
_atom_site_fract_z
Rb1 Rb 0.000 0.231 0.250
Gd1 Gd 0.000 0.007 0.750
Mo1 Mo 0.023 0.400 0.516
O1 O 0.099 0.314 0.975
O2 O 0.229 0.402 0.341
O3 O 0.239 0.410 0.687
O4 O 0.250 0.036 0.504
```



8.
Diffraction record for V7W6O30. The powder diffraction line list is theoretical, not measured: it uses a DFT-relaxed cell (GGA+U, the Materials Project) and Cu Kα X-rays.
Lines closer than 0.1° are merged.

Peak list (8 most intense, 10° ≤ 2θ ≤ 90°, low angle first)
| d/Å | two_theta | I/Imax | h k l |
| --- | --- | --- | --- |
| 4.223 | 21.04 | 45 | 1 1 2 |
| 4.209 | 21.11 | 69 | 1 0 -2 |
| 3.922 | 22.67 | 48 | 0 1 3 |
| 3.899 | 22.81 | 100 | 1 0 3 |
| 3.586 | 24.83 | 28 | 0 1 4 |
| 3.570 | 24.94 | 27 | 1 0 4 |
| 2.939 | 30.41 | 35 | 0 1 -6 |
| 2.610 | 34.36 | 86 | 1 2 0 |

Cell and atoms:
```
data_V7W6O30
_cell_length_a 5.211
_cell_length_b 5.226
_cell_length_c 23.279
_cell_angle_alpha 89.49
_cell_angle_beta 89.68
_cell_angle_gamma 60.09
_symmetry_space_group_name_H-M 'P 1'
_symmetry_Int_Tables_number 1
_symmetry_space_group_name_Hall 'P 1'
loop_
_atom_site_label
_atom_site_type_symbol
_atom_site_fract_x
_atom_site_fract_y
_atom_site_fract_z
V1 V 0.000 0.000 0.000
V2 V 0.002 0.980 0.603
V3 V 0.008 0.995 0.723
V4 V 0.322 0.323 0.697
V5 V 0.328 0.331 0.017
V6 V 0.338 0.318 0.430
V7 V 0.995 0.988 0.413
W1 W 0.000 0.993 0.119
W2 W 0.326 0.326 0.311
W3 W 0.333 0.333 0.822
W4 W 0.661 0.670 0.917
W5 W 0.664 0.659 0.215
W6 W 0.677 0.653 0.518
O1 O 0.001 0.578 0.261
O2 O 0.066 0.657 0.665
O3 O 0.066 0.686 0.062
O4 O 0.080 0.277 0.763
O5 O 0.083 0.253 0.363
O6 O 0.244 0.064 0.063
O7 O 0.253 0.665 0.768
O8 O 0.255 0.034 0.665
O9 O 0.261 0.631 0.365
O10 O 0.330 0.741 0.166
O11 O 0.339 0.996 0.459
O12 O 0.340 0.713 0.556
O13 O 0.356 0.655 0.964
O14 O 0.393 0.996 0.865
O15 O 0.417 0.991 0.263
O16 O 0.586 0.407 0.263
O17 O 0.591 0.404 0.866
O18 O 0.633 0.096 0.766
O19 O 0.645 0.084 0.366
O20 O 0.652 0.354 0.460
O21 O 0.655 0.972 0.963
O22 O 0.688 0.233 0.060
O23 O 0.705 0.220 0.667
O24 O 0.713 0.937 0.558
O25 O 0.742 0.913 0.165
O26 O 0.912 0.330 0.164
O27 O 0.947 0.332 0.557
O28 O 0.969 0.359 0.965
O29 O 0.980 0.665 0.460
O30 O 0.985 0.597 0.866
```